Entry 1:
Starting from a DFT-relaxed cell (PBE, Alexandria), the X-ray diffraction stick pattern of CuBSe2 was computed for Cu Ka.
Kinematic intensities with the Lorentz-polarization factor, no thermal factor.

Principal peaks in the range 2θ = 5–70°, in order of falling intensity:
two_theta	I (rel.)	h k l
31.7	100.0	1 2 1
28.0	95.3	1 2 0
29.6	84.5	0 0 2
53.9	66.5	1 2 3
50.7	59.8	3 2 0
28.9	42.9	2 0 0
32.6	42.0	2 0 1
35.3	38.5	1 1 2

Structural model:
Cell lengths 6.179, 7.444, 6.028 Å; angles 90.00, 90.00, 90.00 degrees
Space group Pna2_1 (No. 33)
Unique sites:
Cu (0.088, 0.126, 0.000) x4
B (0.064, 0.627, 0.009) x4
Se (0.057, 0.604, 0.657) x4
Se (0.108, 0.144, 0.606) x4

=====

Entry 2:
Starting from a DFT-relaxed cell (PBE, Alexandria), the X-ray diffraction stick pattern of CuBSe2 was computed for Cu Ka.
Kinematic intensities with the Lorentz-polarization factor, no thermal factor.

Principal peaks in the range 2θ = 5–70°, in order of falling intensity:
two_theta	I (rel.)	h k l
11.1	100.0	0 0 1
28.1	84.5	0 2 0
33.5	71.0	1 1 1
38.5	42.3	1 0 -3
26.4	39.1	0 1 2
29.7	36.3	1 1 -1
48.4	31.9	-1 2 3
47.9	31.1	0 1 4

Structural model:
Cell lengths 3.510, 6.343, 8.123 Å; angles 90.06, 101.36, 90.00 degrees
Space group P1 (No. 1)
Unique sites:
Cu (0.000, 0.000, 0.000) x1
Cu (0.278, 0.500, 0.070) x1
B (0.636, 0.672, 0.265) x1
B (0.642, 0.171, 0.806) x1
Se (0.096, 0.023, 0.722) x1
Se (0.182, 0.524, 0.349) x1
Se (0.601, 0.970, 0.198) x1
Se (0.677, 0.469, 0.872) x1

=====

Entry 3:
Starting from a DFT-relaxed cell (PBE, Alexandria), the X-ray diffraction stick pattern of Ta4CuB was computed for Cu Ka.
Kinematic intensities with the Lorentz-polarization factor, no thermal factor.

Principal peaks in the range 2θ = 5–70°, in order of falling intensity:
two_theta	I (rel.)	h k l
38.0	100.0	2 1 1
36.3	20.4	0 0 2
66.4	19.8	2 1 3
47.7	17.2	3 1 0
47.5	13.6	2 0 2
66.7	11.6	4 1 1
42.2	9.5	1 1 2
29.6	8.7	2 0 0

Structural model:
Cell lengths 6.030, 6.030, 4.952 Å; angles 90.00, 90.00, 90.00 degrees
Space group P4/mcc (No. 124)
Unique sites:
Ta (0.142, 0.320, 0.000) x8
Cu (0.500, 0.500, 0.250) x2
B (0.000, 0.000, 0.250) x2

=====

Entry 4:
Starting from a DFT-relaxed cell (PBE, Alexandria), the X-ray diffraction stick pattern of CuTcB2 was computed for Cu Ka.
Kinematic intensities with the Lorentz-polarization factor, no thermal factor.

Principal peaks in the range 2θ = 5–70°, in order of falling intensity:
two_theta	I (rel.)	h k l
41.4	100.0	1 1 2
31.8	84.3	2 0 0
63.2	53.6	3 1 2
45.6	43.5	2 2 0
66.5	13.2	4 0 0
23.2	7.5	1 0 1
39.8	4.1	2 1 1
51.8	1.1	3 0 1

Structural model:
Cell lengths 5.626, 5.626, 5.224 Å; angles 90.00, 90.00, 90.00 degrees
Space group I-42d (No. 122)
Unique sites:
Cu (0.000, 0.000, 0.000) x4
Tc (0.000, 0.000, 0.500) x4
B (0.234, 0.250, 0.125) x8

=====

Entry 5:
Starting from a DFT-relaxed cell (PBE, Alexandria), the X-ray diffraction stick pattern of TlCuB was computed for Cu Ka.
Kinematic intensities with the Lorentz-polarization factor, no thermal factor.

Principal peaks in the range 2θ = 5–70°, in order of falling intensity:
two_theta	I (rel.)	h k l
32.2	100.0	0 1 2
9.2	99.2	0 0 1
29.5	89.0	0 1 -2
28.0	75.9	0 0 3
35.7	73.9	-1 1 2
38.0	68.5	1 -1 2
25.4	63.2	0 1 -1
27.0	61.0	0 1 1

Structural model:
Cell lengths 3.082, 3.961, 9.670 Å; angles 92.20, 96.30, 112.86 degrees
Space group P1 (No. 1)
Unique sites:
Tl (0.000, 0.000, 0.000) x1
Tl (0.015, 0.471, 0.702) x1
Cu (0.273, 0.225, 0.420) x1
Cu (0.375, 0.621, 0.193) x1
B (0.548, 0.789, 0.406) x1
B (0.976, 0.658, 0.386) x1

=====

Entry 6:
Starting from a DFT-relaxed cell (PBE, Alexandria), the X-ray diffraction stick pattern of ZnCu3B was computed for Cu Ka.
Kinematic intensities with the Lorentz-polarization factor, no thermal factor.

Principal peaks in the range 2θ = 5–70°, in order of falling intensity:
two_theta	I (rel.)	h k l
39.5	100.0	1 1 1
46.0	53.1	2 0 0
67.0	31.3	2 2 0

Structural model:
Cell lengths 3.949, 3.949, 3.949 Å; angles 90.00, 90.00, 90.00 degrees
Space group Pm-3m (No. 221)
Unique sites:
Zn (0.000, 0.000, 0.000) x1
Cu (0.000, 0.500, 0.500) x3
B (0.500, 0.500, 0.500) x1

=====

Entry 7:
Starting from a DFT-relaxed cell (PBE, Alexandria), the X-ray diffraction stick pattern of DyEr3B was computed for Cu Ka.
Kinematic intensities with the Lorentz-polarization factor, no thermal factor.

Principal peaks in the range 2θ = 5–70°, in order of falling intensity:
two_theta	I (rel.)	h k l
30.3	100.0	1 1 1
35.1	53.4	2 0 0
60.0	43.8	3 1 1
50.5	38.2	2 2 0
63.0	13.1	2 2 2

Structural model:
Cell lengths 5.112, 5.112, 5.112 Å; angles 90.00, 90.00, 90.00 degrees
Space group Pm-3m (No. 221)
Unique sites:
Dy (0.000, 0.000, 0.000) x1
Er (0.000, 0.500, 0.500) x3
B (0.500, 0.500, 0.500) x1

=====

Entry 8:
Starting from a DFT-relaxed cell (PBE, Alexandria), the X-ray diffraction stick pattern of DyBF6 was computed for Cu Ka.
Kinematic intensities with the Lorentz-polarization factor, no thermal factor.

Principal peaks in the range 2θ = 5–70°, in order of falling intensity:
two_theta	I (rel.)	h k l
24.4	100.0	0 1 2
21.4	51.9	1 0 1
41.1	41.7	1 1 3
33.9	25.7	1 0 4
55.2	22.7	2 -1 6
20.1	19.6	0 0 3
39.8	19.6	0 1 5
41.8	19.0	0 2 1

Structural model:
Cell lengths 5.0561, 5.0561, 13.2433 Å; angles 90.00, 90.00, 120.00 degrees
Space group R-3 (No. 148, hexagonal axes)
Unique sites:
Dy (0.0000, 0.0000, 0.0000) x3
B (0.0000, 0.0000, 0.5000) x3
F (0.0289, 0.2764, 0.5711) x18